# Tb5Tm2Tl
Calculated powder XRD pattern, λ = 1.5418 Å (Cu Kα). Input: a DFT-relaxed cell (PBE, Alexandria).
No peak broadening, texture or thermal motion is included.

Crystal structure
```
Tb5Tm2Tl
1.0
3.4217 0.0000 0.0000
0.0000 11.1231 0.0000
0.0000 0.0000 12.8075
Tb Tm Tl
10 4 2
Cartesian
0.0000 0.0000 0.0000 Tb
0.0000 2.9892 4.7073 Tb
0.0000 2.9892 8.1003 Tb
0.0000 8.1339 4.7073 Tb
0.0000 8.1339 8.1003 Tb
1.7108 2.5724 1.6965 Tb
1.7108 2.5724 11.1110 Tb
1.7108 5.5615 6.4038 Tb
1.7108 8.5507 1.6965 Tb
1.7108 8.5507 11.1110 Tb
0.0000 0.0000 3.4388 Tm
0.0000 0.0000 9.3688 Tm
1.7108 5.5615 2.9650 Tm
1.7108 5.5615 9.8425 Tm
0.0000 5.5615 0.0000 Tl
1.7108 0.0000 6.4038 Tl
```

Most intense lines, 2θ = 10–90°, low angle first:
h k l	2θ/deg	I (rel.)
1 1 2	30.70	13
1 2 1	31.48	48
0 2 4	32.24	100
1 0 3	33.56	36
1 3 0	35.71	8
1 4 3	47.19	26
2 0 0	53.57	9
0 6 4	57.44	10
1 2 7	59.67	19
2 2 4	63.91	28